Diffraction record for CoPdO2. The powder diffractogram is calculated, not measured: it uses a cell relaxed with GGA+U and Cu Kα X-rays.

Structure:
```
data_CoPdO2
_symmetry_space_group_name_H-M 'R -3 m'
_symmetry_Int_Tables_number 166
_symmetry_space_group_name_Hall '-R 3 2"'
_cell_length_a 2.8634
_cell_length_b 2.8634
_cell_length_c 17.8733
_cell_angle_alpha 90.00
_cell_angle_beta 90.00
_cell_angle_gamma 120.00
loop_
_atom_site_label
_atom_site_fract_x
_atom_site_fract_y
_atom_site_fract_z
Co1 0.0000 0.0000 0.0000
Pd1 0.0000 0.0000 0.5000
O1 0.0000 0.0000 0.3875
```

Main lines, in order of falling intensity (15° ≤ 2θ ≤ 90°):
Position (°2θ)  I (rel.)
37.64  100
30.00  48
41.65  48
55.35  38
65.16  23
64.24  23
73.37  21
36.58  18
77.77  11
80.37  7
85.56  6
62.34  6